Mg3Al2Pd: computed powder X-ray diffraction pattern (Cu Kα), based on the GGA-PBE geometry in Alexandria.

Atomic structure:
a = 7.3335 Å, b = 8.2327 Å, c = 7.6159 Å
α = 90.00°, β = 93.76°, γ = 90.00°
Space group P2_1/c (No. 14)
Asymmetric unit:
1 Mg 0.1421 0.1240 0.0373 (multiplicity 4)
2 Mg 0.2191 0.7376 0.1538 (multiplicity 4)
3 Mg 0.3369 0.0614 0.3955 (multiplicity 4)
4 Al 0.0385 0.0674 0.6630 (multiplicity 4)
5 Al 0.4764 0.6462 0.4228 (multiplicity 4)
6 Pd 0.3816 0.1216 0.7532 (multiplicity 4)

Top 10 peaks for 2θ = 5–70°, in order of falling intensity:
index  2θ/deg  d [Å]  I_rel
1 0 0  12.09  7.318  100
0 2 1  24.60  3.619  64
2 1 2  36.86  2.439  55
0 2 3  41.87  2.157  49
1 3 0  34.92  2.569  45
1 1 0  16.21  5.469  45
1 1 -3  38.45  2.341  43
1 1 -1  19.53  4.546  36
3 1 -1  39.60  2.276  35
0 0 2  23.41  3.800  30

---

MgAl2Pd3: computed powder X-ray diffraction pattern (Cu Kα), based on the GGA-PBE geometry in Alexandria.

Atomic structure:
a = 3.0749 Å, b = 3.0749 Å, c = 9.6270 Å
α = 90.00°, β = 90.00°, γ = 90.00°
Space group P4/mmm (No. 123)
Asymmetric unit:
1 Mg 0.0000 0.0000 0.0000 (multiplicity 1)
2 Al 0.0000 0.0000 0.3376 (multiplicity 2)
3 Pd 0.5000 0.5000 0.1888 (multiplicity 2)
4 Pd 0.5000 0.5000 0.5000 (multiplicity 1)

Top 10 peaks for 2θ = 5–70°, in order of falling intensity:
index  2θ/deg  d [Å]  I_rel
1 0 3  40.64  2.220  100
1 1 0  41.53  2.174  52
1 0 0  29.04  3.075  51
0 0 3  27.80  3.209  24
1 1 3  50.72  1.800  18
2 0 0  60.19  1.537  17
2 1 0  68.20  1.375  10
2 0 3  67.56  1.387  7
0 0 6  57.43  1.605  7
1 0 4  48.00  1.895  6